Simulated PXRD pattern of CeAlH2Ir for Cu Kα, 1.54184 Å, from DFT lattice parameters and positions (PBE).
Lines closer than 0.1° are merged.

Crystal structure
```
data_CeAlH2Ir
_chemical_formula_sum 'Ce2 Al2 H4 Ir2'
_space_group_name_H-M_alt 'P 63/m m c'
_space_group_IT_number 194
_space_group_name_Hall '-P 6c 2c'
_cell_length_a 4.3927
_cell_length_b 4.3927
_cell_length_c 8.1264
_cell_angle_alpha 90.00
_cell_angle_beta 90.00
_cell_angle_gamma 120.00
loop_
_atom_site_label
_atom_site_fract_x
_atom_site_fract_y
_atom_site_fract_z
Ce1 0.0000 0.0000 0.0000
Al1 0.3333 0.6667 0.2500
H1 0.3333 0.6667 0.5394
Ir1 0.3333 0.6667 0.7500
```

The 12 most intense peaks (2θ from 15° to 90°), in order of rising 2θ:
two_theta	intensity	(hkl)
25.86	57	1 0 1
32.23	100	1 0 2
40.90	17	1 0 3
41.10	55	1 1 0
44.60	14	0 0 4
49.20	10	2 0 1
53.17	25	2 0 2
62.25	32	1 1 4
65.98	9	2 1 1
69.33	22	2 1 2
74.34	9	1 0 6
74.88	9	3 0 0

Simulated PXRD pattern of Ce2AlHg8 for Cu Kα, 1.54184 Å, from DFT lattice parameters and positions (PBE).
Lines closer than 0.1° are merged.

Crystal structure
```
data_Ce2AlHg8
_chemical_formula_sum 'Ce2 Al1 Hg8'
_space_group_name_H-M_alt 'P 4/m m m'
_space_group_IT_number 123
_space_group_name_Hall '-P 4 2'
_cell_length_a 4.792
_cell_length_b 4.792
_cell_length_c 12.272
_cell_angle_alpha 90.00
_cell_angle_beta 90.00
_cell_angle_gamma 90.00
loop_
_atom_site_label
_atom_site_fract_x
_atom_site_fract_y
_atom_site_fract_z
Ce1 0.000 0.000 0.194
Al1 0.000 0.000 0.500
Hg1 0.000 0.500 0.000
Hg2 0.000 0.500 0.372
Hg3 0.500 0.500 0.191
```

The 12 most intense peaks (2θ from 15° to 90°), in order of rising 2θ:
two_theta	intensity	(hkl)
26.30	9	1 1 0
27.31	9	1 1 1
30.13	39	1 1 2
34.37	100	1 1 3
36.61	19	0 0 5
37.54	55	2 0 0
53.44	26	2 0 5
54.14	19	2 2 0
63.21	10	3 1 2
65.71	31	3 1 3
66.96	19	1 1 8
67.14	13	2 2 5

Simulated PXRD pattern of Ce4AlHg for Cu Kα, 1.54184 Å, from DFT lattice parameters and positions (PBE).
Lines closer than 0.1° are merged.

Crystal structure
```
data_Ce4AlHg
_chemical_formula_sum 'Ce8 Al2 Hg2'
_space_group_name_H-M_alt 'P 1 21/m 1'
_space_group_IT_number 11
_cell_length_a 5.783
_cell_length_b 6.604
_cell_length_c 7.973
_cell_angle_alpha 90.00
_cell_angle_beta 96.47
_cell_angle_gamma 90.00
loop_
_space_group_symop_operation_xyz
'x,y,z'
'-x,-y,-z'
'-x,y+1/2,-z'
'x,-y+1/2,z'
loop_
_atom_site_label
_atom_site_fract_x
_atom_site_fract_y
_atom_site_fract_z
Ce1 0.012 0.250 0.001
Ce2 0.155 0.511 0.651
Ce3 0.302 0.750 0.286
Al1 0.500 0.000 0.000
Hg1 0.358 0.250 0.344
```

The 12 most intense peaks (2θ from 15° to 90°), in order of rising 2θ:
two_theta	intensity	(hkl)
32.66	100	1 2 -1
33.94	40	0 0 3
34.38	38	2 0 1
36.51	37	2 0 -2
39.87	50	1 2 2
54.86	19	1 2 -4
55.47	21	3 2 0
55.67	11	0 4 0
63.29	14	3 2 -3
66.83	10	0 4 3
67.10	11	2 4 1
68.43	12	2 4 -2

Simulated PXRD pattern of Ce4AlHg3 for Cu Kα, 1.54184 Å, from DFT lattice parameters and positions (PBE).
Lines closer than 0.1° are merged.

Crystal structure
```
data_Ce4AlHg3
_chemical_formula_sum 'Ce4 Al1 Hg3'
_space_group_name_H-M_alt 'P 4/m m m'
_space_group_IT_number 123
_space_group_name_Hall '-P 4 2'
_cell_length_a 3.940
_cell_length_b 3.940
_cell_length_c 13.846
_cell_angle_alpha 90.00
_cell_angle_beta 90.00
_cell_angle_gamma 90.00
loop_
_atom_site_label
_atom_site_fract_x
_atom_site_fract_y
_atom_site_fract_z
Ce1 0.000 0.000 0.103
Ce2 0.000 0.000 0.369
Al1 0.500 0.500 0.000
Hg1 0.500 0.500 0.234
Hg2 0.500 0.500 0.500
```

The 12 most intense peaks (2θ from 15° to 90°), in order of rising 2θ:
two_theta	intensity	(hkl)
26.02	8	1 0 2
29.82	20	1 0 3
32.13	69	1 1 0
34.49	100	1 0 4
46.07	26	2 0 0
57.11	10	1 1 7
58.80	43	2 1 4
63.25	11	1 1 8
67.20	8	2 2 0
72.73	8	2 0 8
76.45	12	3 1 0
77.78	10	3 0 4

Simulated PXRD pattern of Ce15Al4Hg for Cu Kα, 1.54184 Å, from DFT lattice parameters and positions (PBE).
Lines closer than 0.1° are merged.

Crystal structure
```
data_Ce15Al4Hg
_chemical_formula_sum 'Ce15 Al4 Hg1'
_space_group_name_H-M_alt 'P 4/m m m'
_space_group_IT_number 123
_space_group_name_Hall '-P 4 2'
_cell_length_a 4.693
_cell_length_b 4.693
_cell_length_c 23.505
_cell_angle_alpha 90.00
_cell_angle_beta 90.00
_cell_angle_gamma 90.00
loop_
_atom_site_label
_atom_site_fract_x
_atom_site_fract_y
_atom_site_fract_z
Ce1 0.000 0.000 0.000
Ce2 0.000 0.000 0.203
Ce3 0.000 0.000 0.401
Ce4 0.000 0.500 0.105
Ce5 0.000 0.500 0.302
Ce6 0.000 0.500 0.500
Al1 0.500 0.500 0.202
Al2 0.500 0.500 0.401
Hg1 0.500 0.500 0.000
```

The 12 most intense peaks (2θ from 15° to 90°), in order of rising 2θ:
two_theta	intensity	(hkl)
18.90	8	1 0 0
19.29	2	1 0 1
26.85	7	1 1 0
33.04	100	1 1 5
38.34	50	2 0 0
43.08	4	2 1 0
47.43	3	2 1 5
55.34	34	2 2 0
65.92	13	1 1 15
66.02	27	3 1 5
69.33	11	2 2 10
82.16	4	4 0 0

Simulated PXRD pattern of Ce2AlIn4 for Cu Kα, 1.54184 Å, from DFT lattice parameters and positions (PBE).
Lines closer than 0.1° are merged.

Crystal structure
```
data_Ce2AlIn4
_chemical_formula_sum 'Ce8 Al4 In16'
_space_group_name_H-M_alt 'C m c e'
_space_group_IT_number 64
_space_group_name_Hall '-C 2ac 2'
_cell_length_a 11.884
_cell_length_b 6.118
_cell_length_c 10.520
_cell_angle_alpha 90.00
_cell_angle_beta 90.00
_cell_angle_gamma 90.00
loop_
_atom_site_label
_atom_site_fract_x
_atom_site_fract_y
_atom_site_fract_z
Ce1 0.115 0.000 0.000
Al1 0.000 0.000 0.500
In1 0.000 0.250 0.250
In2 0.250 0.249 0.250
```

The 12 most intense peaks (2θ from 15° to 90°), in order of rising 2θ:
two_theta	intensity	(hkl)
18.36	50	1 1 1
28.15	19	3 1 1
30.33	15	1 1 3
33.90	100	0 2 2
34.09	49	0 0 4
34.68	79	4 0 2
42.41	45	4 2 0
55.50	40	4 2 4
60.90	18	0 2 6
61.40	15	4 0 6
71.71	24	0 0 8
73.06	19	8 2 2

Simulated PXRD pattern of Ce2AlIn for Cu Kα, 1.54184 Å, from DFT lattice parameters and positions (PBE).
Lines closer than 0.1° are merged.

Crystal structure
```
data_Ce2AlIn
_chemical_formula_sum 'Ce8 Al4 In4'
_space_group_name_H-M_alt 'I m m a'
_space_group_IT_number 74
_space_group_name_Hall '-I 2b 2'
_cell_length_a 6.297
_cell_length_b 9.195
_cell_length_c 6.937
_cell_angle_alpha 90.00
_cell_angle_beta 90.00
_cell_angle_gamma 90.00
loop_
_atom_site_label
_atom_site_fract_x
_atom_site_fract_y
_atom_site_fract_z
Ce1 0.250 0.021 0.250
Al1 0.000 0.250 0.531
In1 0.000 0.250 0.960
```

The 12 most intense peaks (2θ from 15° to 90°), in order of rising 2θ:
two_theta	intensity	(hkl)
19.03	17	1 0 1
19.31	17	0 2 0
25.68	13	0 0 2
27.24	15	1 2 1
31.92	14	0 3 1
32.33	100	0 2 2
34.53	91	2 2 0
38.62	65	2 0 2
39.19	28	0 4 0
56.20	35	2 4 2
64.62	21	2 2 4
68.57	22	4 2 2

Simulated PXRD pattern of CeAlIn2S6 for Cu Kα, 1.54184 Å, from DFT lattice parameters and positions (PBE).
Lines closer than 0.1° are merged.

Crystal structure
```
data_CeAlIn2S6
_chemical_formula_sum 'Ce4 Al4 In8 S24'
_space_group_name_H-M_alt 'C 1 2/c 1'
_space_group_IT_number 15
_cell_length_a 13.290
_cell_length_b 11.329
_cell_length_c 7.430
_cell_angle_alpha 90.00
_cell_angle_beta 113.27
_cell_angle_gamma 90.00
loop_
_space_group_symop_operation_xyz
'x,y,z'
'-x,-y,-z'
'-x,y,-z+1/2'
'x,-y,z+1/2'
'x+1/2,y+1/2,z'
'-x+1/2,-y+1/2,-z'
'-x+1/2,y+1/2,-z+1/2'
'x+1/2,-y+1/2,z+1/2'
loop_
_atom_site_label
_atom_site_fract_x
_atom_site_fract_y
_atom_site_fract_z
Ce1 0.000 0.160 0.250
Al1 0.000 0.176 0.750
In1 0.183 0.441 0.186
S1 0.108 0.057 0.651
S2 0.123 0.243 0.035
S3 0.137 0.387 0.468
```

The 12 most intense peaks (2θ from 15° to 90°), in order of rising 2θ:
two_theta	intensity	(hkl)
18.92	44	1 1 1
21.40	42	2 2 0
21.86	45	2 2 -1
23.22	100	3 1 0
24.68	24	1 3 0
25.41	22	1 1 -2
27.99	25	2 2 1
29.06	39	2 2 -2
30.62	44	4 0 -2
34.28	49	0 4 1
39.73	31	2 2 -3
41.47	21	3 1 2